Entry 1:
Structure and theoretical powder diffractogram of ZnBi2B2O7 (a crystal structure in OQMD, relaxed with PBE; Cu Kα).

Structure:
Cell lengths 10.814, 10.941, 4.899 Å; angles 90.00, 90.00, 90.00 degrees
Element x y z (fractional)
Zn (0.241, 0.243, 0.000)
Zn (0.259, 0.743, 0.000)
Zn (0.741, 0.257, 0.000)
Zn (0.759, 0.757, 0.000)
Bi (0.012, 0.315, 0.511)
Bi (0.178, 0.972, 0.515)
Bi (0.322, 0.472, 0.515)
Bi (0.488, 0.815, 0.511)
Bi (0.512, 0.185, 0.511)
Bi (0.678, 0.528, 0.515)
Bi (0.822, 0.028, 0.515)
Bi (0.988, 0.685, 0.511)
B (0.014, 0.872, 0.059)
B (0.116, 0.521, 0.009)
B (0.384, 0.021, 0.009)
B (0.486, 0.372, 0.059)
B (0.514, 0.628, 0.059)
B (0.616, 0.979, 0.009)
B (0.884, 0.479, 0.009)
B (0.986, 0.128, 0.059)
O (0.000, 0.000, 0.151)
O (0.000, 0.500, 0.883)
O (0.020, 0.860, 0.761)
O (0.088, 0.201, 0.183)
O (0.128, 0.825, 0.203)
O (0.134, 0.482, 0.269)
O (0.199, 0.585, 0.856)
O (0.200, 0.328, 0.667)
O (0.300, 0.828, 0.667)
O (0.301, 0.085, 0.856)
O (0.366, 0.982, 0.269)
O (0.372, 0.325, 0.203)
O (0.412, 0.701, 0.183)
O (0.480, 0.360, 0.761)
O (0.500, 0.000, 0.883)
O (0.500, 0.500, 0.151)
O (0.520, 0.640, 0.761)
O (0.588, 0.299, 0.183)
O (0.628, 0.675, 0.203)
O (0.634, 0.018, 0.269)
O (0.699, 0.915, 0.856)
O (0.700, 0.172, 0.667)
O (0.800, 0.672, 0.667)
O (0.801, 0.415, 0.856)
O (0.866, 0.518, 0.269)
O (0.872, 0.175, 0.203)
O (0.912, 0.799, 0.183)
O (0.980, 0.140, 0.761)

Peak list (12 most intense, 10 to 90 degrees two-theta, by angle)
| 2θ (°) | I_rel |
| --- | --- |
| 18.12 | 66 |
| 23.13 | 25 |
| 25.78 | 38 |
| 26.03 | 31 |
| 29.53 | 100 |
| 31.69 | 63 |
| 31.89 | 58 |
| 36.69 | 23 |
| 45.38 | 24 |
| 45.54 | 25 |
| 48.65 | 16 |
| 52.63 | 18 |

Entry 2:
Structure and theoretical powder diffractogram of KCuTe2PdS (a crystal structure in OQMD, relaxed with PBE; Cu Kα).

Structure:
Cell lengths 6.702, 6.702, 11.273 Å; angles 90.00, 90.00, 144.79 degrees
Element x y z (fractional)
K (0.225, 0.775, 0.750)
K (0.775, 0.225, 0.250)
Cu (0.053, 0.947, 0.250)
Cu (0.947, 0.053, 0.750)
Te (0.137, 0.863, 0.036)
Te (0.137, 0.863, 0.464)
Te (0.863, 0.137, 0.536)
Te (0.863, 0.137, 0.964)
Pd (0.500, 0.500, 0.000)
Pd (0.500, 0.500, 0.500)
S (0.478, 0.522, 0.250)
S (0.522, 0.478, 0.750)

Peak list (12 most intense, 10 to 90 degrees two-theta, by angle)
| 2θ (°) | I_rel |
| --- | --- |
| 13.86 | 40 |
| 15.72 | 71 |
| 30.44 | 93 |
| 31.48 | 30 |
| 31.75 | 63 |
| 32.21 | 24 |
| 33.26 | 22 |
| 34.44 | 100 |
| 42.50 | 26 |
| 44.56 | 37 |
| 44.71 | 36 |
| 55.87 | 26 |

Entry 3:
Structure and theoretical powder diffractogram of Bi2PtS4 (a crystal structure in OQMD, relaxed with PBE; Cu Kα).

Structure:
Cell lengths 6.553, 6.553, 14.369 Å; angles 114.14, 114.14, 35.62 degrees
Element x y z (fractional)
Bi (0.164, 0.164, 0.358)
Bi (0.297, 0.297, 0.133)
Bi (0.703, 0.703, 0.867)
Bi (0.836, 0.836, 0.642)
Pt (0.500, 0.500, 0.000)
Pt (0.500, 0.500, 0.500)
S (0.097, 0.097, 0.951)
S (0.148, 0.148, 0.539)
S (0.339, 0.339, 0.833)
S (0.500, 0.500, 0.336)
S (0.500, 0.500, 0.664)
S (0.661, 0.661, 0.167)
S (0.852, 0.852, 0.461)
S (0.903, 0.903, 0.049)

Peak list (12 most intense, 10 to 90 degrees two-theta, by angle)
| 2θ (°) | I_rel |
| --- | --- |
| 23.56 | 35 |
| 24.99 | 79 |
| 25.11 | 83 |
| 25.50 | 84 |
| 28.61 | 52 |
| 29.06 | 48 |
| 31.18 | 64 |
| 32.72 | 100 |
| 35.53 | 43 |
| 39.16 | 32 |
| 45.21 | 69 |
| 52.41 | 46 |

Entry 4:
Structure and theoretical powder diffractogram of Dy2YTm4Te2Pd2 (a crystal structure in OQMD, relaxed with PBE; Cu Kα).

Structure:
Cell lengths 9.365, 9.365, 9.365 Å; angles 155.82, 66.81, 118.79 degrees
Element x y z (fractional)
Dy (0.145, 0.000, 0.145)
Dy (0.855, 0.000, 0.855)
Y (0.238, 0.738, 0.500)
Tm (0.179, 0.362, 0.817)
Tm (0.523, 0.153, 0.371)
Tm (0.544, 0.362, 0.183)
Tm (0.782, 0.153, 0.629)
Te (0.503, 0.503, 0.000)
Te (0.898, 0.398, 0.500)
Pd (0.407, 0.668, 0.739)
Pd (0.929, 0.668, 0.261)

Peak list (12 most intense, 10 to 90 degrees two-theta, by angle)
| 2θ (°) | I_rel |
| --- | --- |
| 11.32 | 14 |
| 24.54 | 14 |
| 28.48 | 15 |
| 28.66 | 14 |
| 30.05 | 58 |
| 33.01 | 62 |
| 33.70 | 100 |
| 34.24 | 58 |
| 36.38 | 19 |
| 38.22 | 23 |
| 46.28 | 29 |
| 58.03 | 37 |

Entry 5:
Structure and theoretical powder diffractogram of RbScFeTe3 (a crystal structure in OQMD, relaxed with PBE; Cu Kα).

Structure:
Cell lengths 9.424, 4.167, 11.047 Å; angles 90.00, 113.92, 90.00 degrees
Element x y z (fractional)
Rb (0.240, 0.250, 0.277)
Rb (0.760, 0.750, 0.723)
Sc (0.332, 0.750, 0.853)
Sc (0.668, 0.250, 0.147)
Fe (0.067, 0.250, 0.581)
Fe (0.933, 0.750, 0.419)
Te (0.105, 0.250, 0.832)
Te (0.235, 0.750, 0.558)
Te (0.446, 0.750, 0.138)
Te (0.554, 0.250, 0.862)
Te (0.765, 0.250, 0.442)
Te (0.895, 0.750, 0.168)

Peak list (12 most intense, 10 to 90 degrees two-theta, by angle)
| 2θ (°) | I_rel |
| --- | --- |
| 10.45 | 68 |
| 25.56 | 42 |
| 26.48 | 34 |
| 26.99 | 41 |
| 27.76 | 43 |
| 28.60 | 100 |
| 29.83 | 43 |
| 32.67 | 27 |
| 39.68 | 33 |
| 43.43 | 33 |
| 47.58 | 28 |
| 48.53 | 30 |

Entry 6:
Structure and theoretical powder diffractogram of Ag4PIO4 (a crystal structure in OQMD, relaxed with PBE; Cu Kα).

Structure:
Cell lengths 9.132, 6.908, 11.078 Å; angles 90.00, 109.58, 90.00 degrees
Element x y z (fractional)
Ag (0.012, 0.042, 0.285)
Ag (0.012, 0.458, 0.285)
Ag (0.285, 0.023, 0.040)
Ag (0.285, 0.477, 0.040)
Ag (0.310, 0.250, 0.280)
Ag (0.350, 0.036, 0.573)
Ag (0.350, 0.464, 0.573)
Ag (0.376, 0.250, 0.807)
Ag (0.624, 0.750, 0.193)
Ag (0.650, 0.536, 0.427)
Ag (0.650, 0.964, 0.427)
Ag (0.690, 0.750, 0.720)
Ag (0.715, 0.523, 0.960)
Ag (0.715, 0.977, 0.960)
Ag (0.988, 0.542, 0.715)
Ag (0.988, 0.958, 0.715)
P (0.306, 0.750, 0.297)
P (0.363, 0.750, 0.823)
P (0.637, 0.250, 0.177)
P (0.694, 0.250, 0.703)
I (0.038, 0.250, 0.064)
I (0.086, 0.250, 0.530)
I (0.914, 0.750, 0.470)
I (0.962, 0.750, 0.936)
O (0.128, 0.750, 0.266)
O (0.265, 0.564, 0.824)
O (0.265, 0.936, 0.824)
O (0.350, 0.750, 0.172)
O (0.378, 0.565, 0.376)
O (0.378, 0.935, 0.376)
O (0.410, 0.750, 0.699)
O (0.491, 0.250, 0.054)
O (0.509, 0.750, 0.946)
O (0.590, 0.250, 0.301)
O (0.622, 0.065, 0.624)
O (0.622, 0.435, 0.624)
O (0.650, 0.250, 0.828)
O (0.735, 0.064, 0.176)
O (0.735, 0.436, 0.176)
O (0.872, 0.250, 0.734)

Peak list (12 most intense, 10 to 90 degrees two-theta, by angle)
| 2θ (°) | I_rel |
| --- | --- |
| 16.46 | 35 |
| 30.85 | 18 |
| 31.19 | 55 |
| 32.34 | 46 |
| 34.11 | 100 |
| 34.62 | 70 |
| 36.82 | 20 |
| 42.79 | 16 |
| 44.72 | 18 |
| 50.76 | 16 |
| 53.03 | 15 |
| 57.03 | 16 |